Record 1
Diffraction record for Ga4CuF12. The powder XRD pattern is computed, not measured: it uses DFT lattice parameters and positions (GGA-PBE) and Cu Kα.
No peak broadening, texture or thermal motion is included.

Atomic structure:
```
Ga4CuF12
1.0
-3.7982 3.8248 3.8834
3.7982 -3.8248 3.8834
3.7982 3.8248 -3.8834
Ga Cu F
4 1 12
direct
0.0000 0.0000 0.5000 Ga
0.0000 0.5000 0.0000 Ga
0.5000 0.0000 0.0000 Ga
0.5000 0.5000 0.5000 Ga
0.0000 0.0000 0.0000 Cu
0.9995 0.2891 0.7105 F
0.0005 0.7109 0.2895 F
0.2080 0.2000 0.4080 F
0.2080 0.8000 0.0081 F
0.2909 0.0762 0.7853 F
0.2909 0.5057 0.2147 F
0.4214 0.7109 0.7105 F
0.5786 0.2891 0.2895 F
0.7091 0.4943 0.7853 F
0.7091 0.9238 0.2147 F
0.7920 0.2000 0.9919 F
0.7920 0.8000 0.5920 F
```

Peak list (8 most intense, 2θ = 5–70°, low angle first)
| d/Å | I (rel.) |
| --- | --- |
| 5.441 | 568 |
| 3.883 | 1000 |
| 3.825 | 957 |
| 3.798 | 924 |
| 2.725 | 790 |
| 2.715 | 807 |
| 2.695 | 714 |
| 1.942 | 467 |

---

Record 2
Diffraction record for KGaCuF6. The powder XRD pattern is computed, not measured: it uses DFT lattice parameters and positions (GGA-PBE) and Cu Kα.
No peak broadening, texture or thermal motion is included.

Atomic structure:
```
KGaCuF6
1.0
7.4310 0.0000 0.0000
0.0000 10.1108 0.0000
-0.5930 0.0000 6.7942
K Ga Cu F
4 4 4 24
direct
0.2369 0.1162 0.0037 K
0.2369 0.3838 0.5037 K
0.7631 0.6162 0.4963 K
0.7631 0.8838 0.9963 K
0.0000 0.0000 0.5000 Ga
0.0000 0.5000 0.0000 Ga
0.5000 0.0000 0.5000 Ga
0.5000 0.5000 0.0000 Ga
0.2608 0.7310 0.3194 Cu
0.2608 0.7690 0.8194 Cu
0.7392 0.2310 0.1806 Cu
0.7392 0.2690 0.6806 Cu
0.0355 0.1585 0.6379 F
0.0355 0.3415 0.1379 F
0.0769 0.5949 0.2407 F
0.0769 0.9051 0.7407 F
0.2443 0.0170 0.4127 F
0.2443 0.4830 0.9127 F
0.2445 0.6681 0.5812 F
0.2445 0.8319 0.0812 F
0.4497 0.5530 0.2532 F
0.4497 0.9470 0.7532 F
0.4915 0.6829 0.9108 F
0.4915 0.8171 0.4108 F
0.5085 0.1829 0.5892 F
0.5085 0.3171 0.0892 F
0.5503 0.0530 0.2468 F
0.5503 0.4470 0.7468 F
0.7555 0.1681 0.9188 F
0.7555 0.3319 0.4188 F
0.7557 0.5170 0.0873 F
0.7557 0.9830 0.5873 F
0.9231 0.0949 0.2593 F
0.9231 0.4051 0.7593 F
0.9645 0.6585 0.8621 F
0.9645 0.8415 0.3621 F
```

Peak list (8 most intense, 2θ = 5–70°, low angle first)
| d/Å | I (rel.) |
| --- | --- |
| 5.973 | 1000 |
| 5.639 | 917 |
| 3.202 | 903 |
| 3.067 | 454 |
| 3.019 | 646 |
| 2.996 | 638 |
| 2.987 | 752 |
| 2.820 | 404 |

---

Record 3
Diffraction record for KGa2CuF8. The powder XRD pattern is computed, not measured: it uses DFT lattice parameters and positions (GGA-PBE) and Cu Kα.
No peak broadening, texture or thermal motion is included.

Atomic structure:
```
KGa2CuF8
1.0
2.6972 1.5572 7.4260
-2.6972 1.5572 7.4260
0.0000 -3.1145 7.4260
K Ga Cu F
1 2 1 8
direct
0.0000 0.0000 0.0000 K
0.2437 0.2437 0.2437 Ga
0.7563 0.7563 0.7563 Ga
0.5000 0.5000 0.5000 Cu
0.0962 0.4491 0.7864 F
0.2136 0.9038 0.5509 F
0.3249 0.3249 0.3249 F
0.4491 0.7864 0.0962 F
0.5509 0.2136 0.9038 F
0.6751 0.6751 0.6751 F
0.7864 0.0962 0.4491 F
0.9038 0.5509 0.2136 F
```

Peak list (8 most intense, 2θ = 5–70°, low angle first)
| d/Å | I (rel.) |
| --- | --- |
| 7.426 | 122 |
| 3.579 | 1000 |
| 2.697 | 445 |
| 2.392 | 275 |
| 2.154 | 237 |
| 1.683 | 213 |
| 1.557 | 210 |
| 1.529 | 251 |

---

Record 4
Diffraction record for NaGaCu2F8. The powder XRD pattern is computed, not measured: it uses DFT lattice parameters and positions (GGA-PBE) and Cu Kα.
No peak broadening, texture or thermal motion is included.

Atomic structure:
```
NaGaCu2F8
1.0
5.1641 0.0000 0.0000
0.9334 5.3729 0.0000
1.8829 1.9371 5.3348
Na Ga Cu F
1 1 2 8
direct
0.0000 0.0000 0.0000 Na
0.8206 0.3368 0.4370 Ga
0.1948 0.6797 0.5973 Cu
0.4796 0.4455 0.0642 Cu
0.1031 0.6481 0.3263 F
0.1411 0.2625 0.1712 F
0.3473 0.7426 0.8232 F
0.4263 0.3558 0.6243 F
0.6408 0.1504 0.2824 F
0.7078 0.6321 0.1689 F
0.8361 0.3873 0.7431 F
0.9275 0.9748 0.6283 F
```

Peak list (8 most intense, 2θ = 5–70°, low angle first)
| d/Å | I (rel.) |
| --- | --- |
| 5.050 | 1000 |
| 3.626 | 927 |
| 3.195 | 457 |
| 2.926 | 701 |
| 2.842 | 572 |
| 2.824 | 459 |
| 1.964 | 351 |
| 1.706 | 260 |

---

Record 5
Diffraction record for NaGdCu2F8. The powder XRD pattern is computed, not measured: it uses DFT lattice parameters and positions (GGA-PBE) and Cu Kα.
No peak broadening, texture or thermal motion is included.

Atomic structure:
```
NaGdCu2F8
1.0
-2.7503 2.7503 5.2042
2.7503 -2.7503 5.2042
2.7503 2.7503 -5.2042
Na Gd Cu F
1 1 2 8
direct
0.0000 0.0000 0.0000 Na
0.5000 0.5000 0.0000 Gd
0.2500 0.7500 0.5000 Cu
0.7500 0.2500 0.5000 Cu
0.0640 0.5455 0.8531 F
0.2109 0.0640 0.5185 F
0.3076 0.4545 0.5185 F
0.4545 0.9360 0.1469 F
0.5455 0.6924 0.4815 F
0.6924 0.2109 0.1469 F
0.7891 0.3076 0.8531 F
0.9360 0.7891 0.4815 F
```

Peak list (8 most intense, 2θ = 5–70°, low angle first)
| d/Å | I (rel.) |
| --- | --- |
| 4.863 | 546 |
| 3.116 | 1000 |
| 2.750 | 175 |
| 2.394 | 201 |
| 2.007 | 144 |
| 1.945 | 215 |
| 1.890 | 382 |
| 1.650 | 305 |

---

Record 6
Diffraction record for CuGe2F6. The powder XRD pattern is computed, not measured: it uses DFT lattice parameters and positions (GGA-PBE) and Cu Kα.
No peak broadening, texture or thermal motion is included.

Atomic structure:
```
CuGe2F6
1.0
4.6561 -5.7328 0.0000
4.6561 5.7328 0.0000
-1.1657 0.0000 5.1625
Cu Ge F
2 4 12
direct
0.0759 0.9241 0.7500 Cu
0.9241 0.0759 0.2500 Cu
0.2158 0.4663 0.8464 Ge
0.4663 0.2158 0.3464 Ge
0.5337 0.7842 0.6536 Ge
0.7842 0.5337 0.1536 Ge
0.0524 0.1846 0.5939 F
0.0654 0.6463 0.8404 F
0.1846 0.0524 0.0939 F
0.2940 0.5301 0.5274 F
0.3537 0.9346 0.6596 F
0.4699 0.7060 0.9726 F
0.5301 0.2940 0.0274 F
0.6463 0.0654 0.3404 F
0.7060 0.4699 0.4726 F
0.8154 0.9476 0.9061 F
0.9346 0.3537 0.1596 F
0.9476 0.8154 0.4061 F
```

Peak list (8 most intense, 2θ = 5–70°, low angle first)
| d/Å | I (rel.) |
| --- | --- |
| 4.571 | 215 |
| 3.874 | 1000 |
| 3.836 | 270 |
| 3.523 | 259 |
| 3.200 | 745 |
| 2.927 | 456 |
| 2.866 | 437 |
| 1.828 | 512 |